No. 1
Theoretical powder XRD pattern
Compound: Pu8Ga3Ge
Radiation: Cu Ka
Structure: a DFT-relaxed cell (PBE, Alexandria)

a = 7.0711 Å, b = 7.0711 Å, c = 6.7159 Å
α = 114.54°, β = 114.54°, γ = 81.55°
Fractional coordinates of all 12 atoms:
Pu 0.0000 0.0000 0.0000
Pu 0.0787 0.0787 0.6114
Pu 0.3243 0.8518 0.2532
Pu 0.3846 0.7584 0.6291
Pu 0.5036 0.5036 0.0009
Pu 0.7584 0.3846 0.6291
Pu 0.7789 0.7789 0.1124
Pu 0.8518 0.3243 0.2532
Ga 0.1369 0.4427 0.1044
Ga 0.3033 0.3033 0.4668
Ga 0.4427 0.1369 0.1044
Ge 0.7540 0.7540 0.5206

Most intense lines, 2θ = 10–80°, low angle first:
- 19.83 deg, I 100.0
- 24.96 deg, I 38.0
- 32.00 deg, I 42.9
- 33.08 deg, I 37.4
- 34.97 deg, I 81.0
- 37.27 deg, I 78.1
- 37.49 deg, I 55.6
- 40.27 deg, I 44.8

***

No. 2
Theoretical powder XRD pattern
Compound: Pu6GaGe5
Radiation: Cu Ka
Structure: a DFT-relaxed cell (PBE, Alexandria)

a = 5.4799 Å, b = 5.8214 Å, c = 9.1409 Å
α = 71.44°, β = 72.69°, γ = 89.99°
Fractional coordinates of all 12 atoms:
Pu 0.0005 0.2464 0.4991
Pu 0.3310 0.0789 0.8386
Pu 0.3305 0.5820 0.8395
Pu 0.6695 0.4180 0.1605
Pu 0.6690 0.9211 0.1614
Pu 0.9995 0.7536 0.5009
Ga 0.5000 0.5000 0.5000
Ge 0.1642 0.6658 0.1711
Ge 0.1664 0.1651 0.1667
Ge 0.5000 0.0000 0.5000
Ge 0.8336 0.8349 0.8333
Ge 0.8358 0.3342 0.8289

Most intense lines, 2θ = 10–80°, low angle first:
- 22.94 deg, I 48.6
- 32.67 deg, I 78.4
- 38.68 deg, I 100.0
- 45.45 deg, I 17.1
- 46.81 deg, I 14.6
- 46.93 deg, I 14.5
- 62.32 deg, I 37.5
- 73.70 deg, I 15.5

***

No. 3
Theoretical powder XRD pattern
Compound: PuScGaGe
Radiation: Cu Ka
Structure: a DFT-relaxed cell (PBE, Alexandria)

a = 4.8967 Å, b = 4.8967 Å, c = 4.8967 Å
α = 60.00°, β = 60.00°, γ = 60.00°
Fractional coordinates of all 4 atoms:
Pu 0.0000 0.0000 0.0000
Sc 0.5000 0.5000 0.5000
Ga 0.7500 0.7500 0.7500
Ge 0.2500 0.2500 0.2500

Most intense lines, 2θ = 10–80°, low angle first:
- 22.23 deg, I 44.6
- 25.73 deg, I 11.3
- 36.71 deg, I 100.0
- 43.34 deg, I 25.3
- 52.88 deg, I 17.5
- 58.06 deg, I 11.2
- 66.10 deg, I 35.6
- 78.06 deg, I 11.1